Computed PXRD pattern
Compound: RbHfCo2Ge
Radiation: Cu Kα (weighted mean of Kα1 and Kα2)
Structure: a structure optimized by DFT (GGA-PBE)
No peak broadening, texture or thermal motion is included.

Structure:
abc: 4.3978 4.3978 5.5042
angles: 90.00 90.00 90.00
Element x y z (fractional)
Rb: 0.0000 0.0000 0.0000
Hf: 0.5000 0.5000 0.5000
Co: 0.0000 0.5000 0.0000
Co: 0.5000 0.0000 0.0000
Ge: 0.0000 0.0000 0.5000

Main lines, by angle (2θ from 10° to 90°):
- 2θ = 25.93°, d 3.436, rel. 78
- 2θ = 28.71°, d 3.110, rel. 39
- 2θ = 32.53°, d 2.752, rel. 67
- 2θ = 33.09°, d 2.707, rel. 100
- 2θ = 41.05°, d 2.199, rel. 70
- 2θ = 43.93°, d 2.061, rel. 25
- 2θ = 49.20°, d 1.852, rel. 27
- 2θ = 53.33°, d 1.718, rel. 64
- 2θ = 59.45°, d 1.555, rel. 23
- 2θ = 69.43°, d 1.354, rel. 29

***

Computed PXRD pattern
Compound: HoCo4Ge12
Radiation: Cu Kα (weighted mean of Kα1 and Kα2)
Structure: a structure optimized by DFT (GGA-PBE)
No peak broadening, texture or thermal motion is included.

Structure:
abc: 7.2501 7.2501 7.2501
angles: 109.47 109.47 109.47
Element x y z (fractional)
Ho: 0.0000 0.0000 0.0000
Co: 0.0000 0.0000 0.5000
Co: 0.0000 0.5000 0.0000
Co: 0.5000 0.0000 0.0000
Co: 0.5000 0.5000 0.5000
Ge: 0.1638 0.5052 0.3414
Ge: 0.1638 0.8224 0.6586
Ge: 0.1776 0.3414 0.8362
Ge: 0.3414 0.1638 0.5052
Ge: 0.3414 0.8362 0.1776
Ge: 0.4948 0.6586 0.8362
Ge: 0.5052 0.3414 0.1638
Ge: 0.6586 0.1638 0.8224
Ge: 0.6586 0.8362 0.4948
Ge: 0.8224 0.6586 0.1638
Ge: 0.8362 0.1776 0.3414
Ge: 0.8362 0.4948 0.6586

Main lines, by angle (2θ from 10° to 90°):
- 2θ = 30.19°, d 2.960, rel. 9
- 2θ = 33.86°, d 2.647, rel. 100
- 2θ = 40.31°, d 2.237, rel. 55
- 2θ = 48.64°, d 1.872, rel. 11
- 2θ = 53.63°, d 1.709, rel. 33
- 2θ = 56.01°, d 1.642, rel. 29
- 2θ = 64.95°, d 1.436, rel. 11
- 2θ = 67.08°, d 1.395, rel. 9
- 2θ = 69.17°, d 1.358, rel. 8
- 2θ = 77.30°, d 1.234, rel. 17

***

Q: Which formula does entry 2 have?
A: HoCo4Ge12